Tm2Be2SiO7: computed powder diffraction line list (Cu Ka), based on a cell relaxed with PBE.
No peak broadening, texture or thermal motion is included.

Cell and atoms:
Lattice parameters (Å, degrees): 7.2622 7.2622 4.7415 90.00 90.00 90.00
Sites, in units of the cell vectors:
Tm: 0.1578 0.3422 0.0108
Tm: 0.3422 0.8422 0.9892
Tm: 0.6578 0.1578 0.9892
Tm: 0.8422 0.6578 0.0108
Be: 0.1371 0.6371 0.5421
Be: 0.3629 0.1371 0.4579
Be: 0.6371 0.8629 0.4579
Be: 0.8629 0.3629 0.5421
Si: 0.0000 0.0000 0.5000
Si: 0.5000 0.5000 0.5000
O: 0.0000 0.5000 0.6875
O: 0.0836 0.8376 0.7038
O: 0.1409 0.6409 0.2068
O: 0.1624 0.0836 0.2962
O: 0.3376 0.5836 0.7038
O: 0.3591 0.1409 0.7932
O: 0.4164 0.3376 0.2962
O: 0.5000 0.0000 0.3125
O: 0.5836 0.6624 0.2962
O: 0.6409 0.8591 0.7932
O: 0.6624 0.4164 0.7038
O: 0.8376 0.9164 0.2962
O: 0.8591 0.3591 0.2068
O: 0.9164 0.1624 0.7038

Most intense lines, 10° ≤ 2θ ≤ 90°, low angle first:
2θ/deg  I (rel.)  (hkl)
18.71  56  0 0 1
25.57  26  1 1 1
27.46  53  2 1 0
31.02  26  2 0 1
33.44  100  2 1 1
39.23  17  3 1 0
43.80  19  3 1 1
47.48  42  2 1 2
55.70  32  3 1 2
57.22  19  3 3 1